Computed X-ray powder pattern
Compound: LaVSi2F
Radiation: Cu Ka
Structure: a GGA+U-relaxed structure
Kinematic intensities with the Lorentz-polarization factor, no thermal factor.

Structure:
```
LaVSi2F
1.0
4.529 0.000 0.000
0.000 4.529 0.000
0.000 0.000 5.687
La V Si F
1 1 2 1
Direct
0.000 0.000 0.000
0.000 0.000 0.500
0.000 0.500 0.500
0.500 0.000 0.500
0.500 0.500 0.000
```

The 10 most intense peaks (5 to 70 degrees two-theta), in order of falling intensity:
| hkl | 2θ (°) | Rel. int. |
| --- | --- | --- |
| 1 0 0 | 19.6 | 100 |
| 1 1 1 | 32.1 | 56 |
| 2 0 0 | 39.8 | 40 |
| 0 0 2 | 31.5 | 39 |
| 1 0 2 | 37.3 | 38 |
| 2 0 2 | 51.6 | 36 |
| 1 1 0 | 27.9 | 34 |
| 2 1 2 | 55.7 | 24 |
| 2 1 0 | 44.7 | 23 |
| 1 1 2 | 42.5 | 21 |